[1]
Starting from a structure optimized by DFT (GGA-PBE), the powder diffractogram of Sc6Sn2CN was simulated for Cu Kα (λ = 1.5418 Å).
No peak broadening, texture or thermal motion is included.

Atomic structure:
```
Sc6Sn2CN
1.0
4.499 0.000 0.000
0.000 4.499 0.000
0.000 0.000 8.995
Sc Sn C N
6 2 1 1
direct
0.000 0.000 0.248
0.000 0.000 0.752
0.000 0.500 0.000
0.000 0.500 0.500
0.500 0.000 0.000
0.500 0.000 0.500
0.500 0.500 0.249
0.500 0.500 0.751
0.000 0.000 0.500
0.000 0.000 0.000
```

Principal peaks in the range 5° ≤ 2θ ≤ 70°, low angle first:
d 4.498, I = 18, (1 0 0); d 3.181, I = 34, (1 1 0); d 2.597, I = 100, (1 1 2); d 2.249, I = 59, (2 0 0); d 2.012, I = 11, (2 1 0); d 1.836, I = 15, (2 1 2); d 1.590, I = 38, (2 2 0); d 1.356, I = 38, (3 1 2)


[2]
Starting from a structure optimized by DFT (GGA-PBE), the powder diffractogram of CaPmYAg was simulated for Cu Kα (λ = 1.5418 Å).
No peak broadening, texture or thermal motion is included.

Atomic structure:
```
CaPmYAg
1.0
3.603 0.000 0.000
0.000 3.603 0.000
0.000 0.000 9.395
Ca Pm Y Ag
1 1 1 1
direct
0.000 0.000 0.000
0.500 0.500 0.321
0.000 0.000 0.595
0.500 0.500 0.787
```

Principal peaks in the range 5° ≤ 2θ ≤ 70°, low angle first:
d 9.395, I = 17, (0 0 1); d 4.697, I = 12, (0 0 2); d 3.603, I = 11, (1 0 0); d 2.859, I = 100, (1 0 2); d 2.547, I = 42, (1 1 0); d 1.801, I = 14, (2 0 0); d 1.727, I = 14, (1 1 4); d 1.524, I = 28, (2 1 2)


[3]
Starting from a structure optimized by DFT (GGA-PBE), the powder diffractogram of InPb12Au7 was simulated for Cu Kα (λ = 1.5418 Å).
No peak broadening, texture or thermal motion is included.

Atomic structure:
```
InPb12Au7
1.0
6.074 0.000 0.000
1.246 9.076 0.000
2.403 3.196 9.807
In Pb Au
1 12 7
direct
0.000 0.000 0.000
0.026 0.436 0.181
0.085 0.314 0.505
0.178 0.028 0.284
0.377 0.816 0.574
0.380 0.711 0.925
0.477 0.384 0.685
0.523 0.616 0.315
0.620 0.289 0.075
0.623 0.184 0.426
0.822 0.972 0.716
0.915 0.686 0.495
0.974 0.564 0.819
0.115 0.734 0.204
0.207 0.276 0.975
0.312 0.057 0.730
0.500 0.000 0.000
0.688 0.943 0.270
0.793 0.724 0.025
0.885 0.266 0.796
```

Principal peaks in the range 5° ≤ 2θ ≤ 70°, low angle first:
d 2.848, I = 88, (1 3 1); d 2.833, I = 52, (0 2 -2); d 2.706, I = 40, (-1 1 3); d 2.650, I = 51, (1 0 -3); d 2.583, I = 43, (1 1 4); d 2.560, I = 42, (-1 3 1); d 2.517, I = 41, (1 2 4); d 2.478, I = 100, (2 -1 2)